Computed powder XRD pattern of Sr2YMgSbO6 for Cu Kα, from DFT lattice parameters and positions (GGA-PBE).
Lines closer than 0.1° are merged.

Crystal structure
```
data_Sr2YMgSbO6
_chemical_formula_sum 'Sr6 Y3 Mg3 Sb3 O18'
_cell_length_a 6.1890
_cell_length_b 6.1890
_cell_length_c 19.7670
_cell_angle_alpha 90.00
_cell_angle_beta 90.00
_cell_angle_gamma 120.00
_space_group_name_H-M_alt 'R 3 m'
_space_group_IT_number 160
_space_group_name_Hall 'R 3 -2"'
loop_
_atom_site_label
_atom_site_fract_x
_atom_site_fract_y
_atom_site_fract_z
Sr1 0.0000 0.0000 0.0000
Sr2 0.0000 0.0000 0.4483
Y1 0.0000 0.0000 0.2841
Mg1 0.0000 0.0000 0.6922
Sb1 0.0000 0.0000 0.8402
O1 0.0206 0.5103 0.0301
O2 0.0289 0.5144 0.5610
```

Main lines, in order of rising 2θ (15° ≤ 2θ ≤ 90°):
- (0 1 2), 18.83°, I = 89
- (0 1 5), 28.05°, I = 46
- (1 1 0), 28.85°, I = 100
- (1 0 7), 35.95°, I = 39
- (1 1 6), 39.97°, I = 27
- (0 2 7), 46.73°, I = 27
- (1 2 5), 50.63°, I = 19
- (3 0 0), 51.13°, I = 20
- (2 1 7), 55.85°, I = 24
- (2 2 0), 59.77°, I = 20